[1]
Starting from a crystal structure in Alexandria, relaxed with GGA-PBE, the X-ray diffraction stick pattern of CeTl3S3 was computed for Cu Kα (weighted mean of Kα1 and Kα2).

Structure:
```
data_CeTl3S3
_chemical_formula_sum 'Ce2 Tl6 S6'
_symmetry_space_group_name_H-M 'P 1 21/m 1'
_symmetry_Int_Tables_number 11
_cell_length_a 8.789
_cell_length_b 4.184
_cell_length_c 12.070
_cell_angle_alpha 90.00
_cell_angle_beta 92.27
_cell_angle_gamma 90.00
loop_
_symmetry_equiv_pos_as_xyz
'x,y,z'
'-x,-y,-z'
'-x,y+1/2,-z'
'x,-y+1/2,z'
loop_
_atom_site_label
_atom_site_fract_x
_atom_site_fract_y
_atom_site_fract_z
Ce1 0.119 0.250 0.378
Tl1 0.140 0.250 0.875
Tl2 0.340 0.750 0.138
Tl3 0.379 0.750 0.634
S1 0.099 0.250 0.613
S2 0.101 0.250 0.146
S3 0.336 0.750 0.385
```

Most intense lines, 15° ≤ 2θ ≤ 90°, in order of rising 2θ:
24.60 deg, rel. 45, (2 0 -2)
25.56 deg, rel. 43, (2 0 2)
25.92 deg, rel. 84, (0 1 2)
29.49 deg, rel. 100, (2 1 0)
29.63 deg, rel. 50, (0 0 4)
41.68 deg, rel. 34, (2 1 -4)
42.89 deg, rel. 37, (2 1 4)
43.25 deg, rel. 21, (0 2 0)
50.39 deg, rel. 34, (4 0 -4)
53.30 deg, rel. 19, (0 2 4)


[2]
Starting from a crystal structure in Alexandria, relaxed with GGA-PBE, the X-ray diffraction stick pattern of Pm2PrY4Mg was computed for Cu Kα (weighted mean of Kα1 and Kα2).

Structure:
```
data_Pm2PrY4Mg
_chemical_formula_sum 'Pm2 Pr1 Y4 Mg1'
_symmetry_space_group_name_H-M 'P 4/m m m'
_symmetry_Int_Tables_number 123
_symmetry_space_group_name_Hall '-P 4 2'
_cell_length_a 5.022
_cell_length_b 5.022
_cell_length_c 10.245
_cell_angle_alpha 90.00
_cell_angle_beta 90.00
_cell_angle_gamma 90.00
loop_
_atom_site_label
_atom_site_fract_x
_atom_site_fract_y
_atom_site_fract_z
Pm1 0.000 0.000 0.000
Pm2 0.500 0.500 0.500
Pr1 0.000 0.000 0.500
Y1 0.000 0.500 0.245
Mg1 0.500 0.500 0.000
```

Most intense lines, 15° ≤ 2θ ≤ 90°, in order of rising 2θ:
19.69 deg, rel. 7, (1 0 1)
30.63 deg, rel. 100, (1 1 2)
35.03 deg, rel. 17, (0 0 4)
35.76 deg, rel. 33, (2 0 0)
50.93 deg, rel. 24, (2 0 4)
51.47 deg, rel. 13, (2 2 0)
60.13 deg, rel. 14, (1 1 6)
61.09 deg, rel. 27, (3 1 2)
63.78 deg, rel. 12, (2 2 4)
83.05 deg, rel. 11, (3 1 6)


[3]
Starting from a crystal structure in Alexandria, relaxed with GGA-PBE, the X-ray diffraction stick pattern of ThPt3 was computed for Cu Kα (weighted mean of Kα1 and Kα2).

Structure:
```
data_ThPt3
_chemical_formula_sum 'Th2 Pt6'
_symmetry_space_group_name_H-M 'P 63/m m c'
_symmetry_Int_Tables_number 194
_symmetry_space_group_name_Hall '-P 6c 2c'
_cell_length_a 5.9350
_cell_length_b 5.9350
_cell_length_c 5.0051
_cell_angle_alpha 90.00
_cell_angle_beta 90.00
_cell_angle_gamma 120.00
loop_
_atom_site_label
_atom_site_fract_x
_atom_site_fract_y
_atom_site_fract_z
Th1 0.3333 0.6667 0.2500
Pt1 0.1603 0.3205 0.7500
```

Most intense lines, 15° ≤ 2θ ≤ 90°, in order of rising 2θ:
34.91 deg, rel. 23, (2 0 0)
35.88 deg, rel. 29, (0 0 2)
39.41 deg, rel. 100, (2 0 1)
50.93 deg, rel. 16, (2 0 2)
62.61 deg, rel. 17, (2 2 0)
66.86 deg, rel. 22, (2 0 3)
74.32 deg, rel. 21, (2 2 2)
76.55 deg, rel. 14, (4 0 1)
84.82 deg, rel. 4, (4 0 2)
86.51 deg, rel. 4, (2 0 4)


[4]
Starting from a crystal structure in Alexandria, relaxed with GGA-PBE, the X-ray diffraction stick pattern of Tb2Pu2Ru3 was computed for Cu Kα (weighted mean of Kα1 and Kα2).

Structure:
```
data_Tb2Pu2Ru3
_chemical_formula_sum 'Tb2 Pu2 Ru3'
_symmetry_space_group_name_H-M 'P -1'
_symmetry_Int_Tables_number 2
_cell_length_a 3.399
_cell_length_b 7.021
_cell_length_c 7.305
_cell_angle_alpha 106.89
_cell_angle_beta 103.32
_cell_angle_gamma 103.97
loop_
_symmetry_equiv_pos_as_xyz
'x,y,z'
'-x,-y,-z'
loop_
_atom_site_label
_atom_site_fract_x
_atom_site_fract_y
_atom_site_fract_z
Tb1 0.180 0.083 0.281
Pu1 0.405 0.584 0.230
Ru1 0.000 0.500 0.500
Ru2 0.371 0.766 0.976
```

Most intense lines, 15° ≤ 2θ ≤ 90°, in order of rising 2θ:
26.96 deg, rel. 24, (0 0 2)
32.93 deg, rel. 46, (1 -2 0)
35.29 deg, rel. 40, (1 1 -2)
35.59 deg, rel. 100, (0 2 1)
35.66 deg, rel. 41, (-1 1 2)
36.08 deg, rel. 25, (1 1 0)
40.38 deg, rel. 32, (0 2 -3)
43.19 deg, rel. 37, (1 2 -2)
53.95 deg, rel. 22, (-2 1 1)
55.61 deg, rel. 28, (0 0 4)


[5]
Starting from a crystal structure in Alexandria, relaxed with GGA-PBE, the X-ray diffraction stick pattern of Y2Zn15Pt2 was computed for Cu Kα (weighted mean of Kα1 and Kα2).

Structure:
```
data_Y2Zn15Pt2
_chemical_formula_sum 'Y6 Zn45 Pt6'
_symmetry_space_group_name_H-M 'R -3 m'
_symmetry_Int_Tables_number 166
_symmetry_space_group_name_Hall '-R 3 2"'
_cell_length_a 8.9678
_cell_length_b 8.9678
_cell_length_c 13.2127
_cell_angle_alpha 90.00
_cell_angle_beta 90.00
_cell_angle_gamma 120.00
loop_
_atom_site_label
_atom_site_fract_x
_atom_site_fract_y
_atom_site_fract_z
Y1 0.0000 0.0000 0.1643
Zn1 0.0000 0.2869 0.5000
Zn2 0.0000 0.5000 0.0000
Zn3 0.0059 0.5030 0.6504
Pt1 0.0000 0.0000 0.3881
```

Most intense lines, 15° ≤ 2θ ≤ 90°, in order of rising 2θ:
34.65 deg, rel. 64, (3 0 0)
35.69 deg, rel. 65, (0 2 4)
40.22 deg, rel. 100, (2 2 0)
40.42 deg, rel. 49, (0 3 3)
40.98 deg, rel. 29, (0 0 6)
41.14 deg, rel. 44, (2 1 4)
41.33 deg, rel. 50, (2 0 5)
45.39 deg, rel. 86, (2 2 3)
73.10 deg, rel. 27, (6 0 0)
74.27 deg, rel. 32, (0 3 9)


[6]
Starting from a crystal structure in Alexandria, relaxed with GGA-PBE, the X-ray diffraction stick pattern of Li3HPd was computed for Cu Kα (weighted mean of Kα1 and Kα2).

Structure:
```
data_Li3HPd
_chemical_formula_sum 'Li3 H1 Pd1'
_symmetry_space_group_name_H-M 'P m -3 m'
_symmetry_Int_Tables_number 221
_symmetry_space_group_name_Hall '-P 4 2 3'
_cell_length_a 3.892
_cell_length_b 3.892
_cell_length_c 3.892
_cell_angle_alpha 90.00
_cell_angle_beta 90.00
_cell_angle_gamma 90.00
loop_
_atom_site_label
_atom_site_fract_x
_atom_site_fract_y
_atom_site_fract_z
Li1 0.000 0.000 0.500
H1 0.000 0.000 0.000
Pd1 0.500 0.500 0.500
```

Most intense lines, 15° ≤ 2θ ≤ 90°, in order of rising 2θ:
22.85 deg, rel. 100, (1 0 0)
32.54 deg, rel. 86, (1 1 0)
40.13 deg, rel. 44, (1 1 1)
46.68 deg, rel. 22, (2 0 0)
52.58 deg, rel. 41, (2 1 0)
58.05 deg, rel. 31, (2 1 1)
68.15 deg, rel. 14, (2 2 0)
72.92 deg, rel. 19, (3 0 0)
77.57 deg, rel. 13, (3 1 0)
82.14 deg, rel. 16, (3 1 1)


[7]
Starting from a crystal structure in Alexandria, relaxed with GGA-PBE, the X-ray diffraction stick pattern of LaPm4DyEr2 was computed for Cu Kα (weighted mean of Kα1 and Kα2).

Structure:
```
data_LaPm4DyEr2
_chemical_formula_sum 'La2 Pm8 Dy2 Er4'
_symmetry_space_group_name_H-M 'C 1 2/m 1'
_symmetry_Int_Tables_number 12
_cell_length_a 11.420
_cell_length_b 5.117
_cell_length_c 10.249
_cell_angle_alpha 90.00
_cell_angle_beta 116.72
_cell_angle_gamma 90.00
loop_
_symmetry_equiv_pos_as_xyz
'x,y,z'
'-x,-y,-z'
'-x,y,-z'
'x,-y,z'
'x+1/2,y+1/2,z'
'-x+1/2,-y+1/2,-z'
'-x+1/2,y+1/2,-z'
'x+1/2,-y+1/2,z'
loop_
_atom_site_label
_atom_site_fract_x
_atom_site_fract_y
_atom_site_fract_z
La1 0.000 0.000 0.000
Pm1 0.249 0.000 0.873
Pm2 0.249 0.500 0.623
Dy1 0.000 0.000 0.500
Er1 0.000 0.500 0.253
```

Most intense lines, 15° ≤ 2θ ≤ 90°, in order of rising 2θ:
30.27 deg, rel. 100, (1 1 2)
35.05 deg, rel. 34, (0 2 0)
35.19 deg, rel. 17, (4 0 0)
50.42 deg, rel. 18, (6 0 -4)
50.53 deg, rel. 18, (4 2 0)
59.93 deg, rel. 29, (1 3 2)
60.13 deg, rel. 14, (5 1 2)
62.96 deg, rel. 12, (2 2 4)
82.20 deg, rel. 9, (7 3 -2)
84.63 deg, rel. 7, (2 4 -4)


[8]
Starting from a crystal structure in Alexandria, relaxed with GGA-PBE, the X-ray diffraction stick pattern of LiMn3Se4 was computed for Cu Kα (weighted mean of Kα1 and Kα2).

Structure:
```
data_LiMn3Se4
_chemical_formula_sum 'Li2 Mn6 Se8'
_symmetry_space_group_name_H-M 'P m m n'
_symmetry_Int_Tables_number 59
_cell_length_a 5.358
_cell_length_b 8.936
_cell_length_c 7.770
_cell_angle_alpha 90.00
_cell_angle_beta 90.00
_cell_angle_gamma 90.00
loop_
_symmetry_equiv_pos_as_xyz
'x,y,z'
'-x,-y,-z'
'-x+1/2,-y+1/2,z'
'x+1/2,y+1/2,-z'
'x+1/2,-y,-z'
'-x+1/2,y,z'
'-x,y+1/2,-z'
'x,-y+1/2,z'
loop_
_atom_site_label
_atom_site_fract_x
_atom_site_fract_y
_atom_site_fract_z
Li1 0.250 0.250 0.160
Mn1 0.250 0.508 0.668
Mn2 0.250 0.750 0.170
Se1 0.250 0.250 0.817
Se2 0.250 0.506 0.339
Se3 0.250 0.750 0.841
```

Most intense lines, 15° ≤ 2θ ≤ 90°, in order of rising 2θ:
22.94 deg, rel. 100, (0 0 2)
28.41 deg, rel. 29, (1 0 2)
33.45 deg, rel. 50, (2 0 0)
40.25 deg, rel. 57, (0 2 3)
40.38 deg, rel. 29, (0 4 0)
40.95 deg, rel. 42, (2 0 2)
53.30 deg, rel. 49, (2 2 3)
53.40 deg, rel. 25, (2 4 0)
83.03 deg, rel. 13, (2 6 3)
84.24 deg, rel. 19, (4 4 0)